Structure and simulated powder diffraction line list of TaP2O7 (a structure optimized by DFT (GGA-PBE); Cu Kα (weighted mean of Kα1 and Kα2)).

Crystal structure
Cell lengths 8.4100, 8.4100, 8.4100 Å; angles 90.00, 90.00, 90.00 degrees
Element x y z (fractional)
Ta  0.0000  0.0000  0.0000
Ta  0.0000  0.5000  0.5000
Ta  0.5000  0.0000  0.5000
Ta  0.5000  0.5000  0.0000
P  0.1090  0.6090  0.8910
P  0.1090  0.8910  0.3910
P  0.3910  0.1090  0.8910
P  0.3910  0.3910  0.3910
P  0.6090  0.6090  0.6090
P  0.6090  0.8910  0.1090
P  0.8910  0.1090  0.6090
P  0.8910  0.3910  0.1090
O  0.0000  0.0000  0.5000
O  0.0000  0.5000  0.0000
O  0.0584  0.7200  0.4196
O  0.0584  0.7800  0.9196
O  0.0804  0.5584  0.7200
O  0.0804  0.9416  0.2200
O  0.2200  0.0804  0.9416
O  0.2200  0.4196  0.4416
O  0.2800  0.5804  0.9416
O  0.2800  0.9196  0.4416
O  0.4196  0.0584  0.7200
O  0.4196  0.4416  0.2200
O  0.4416  0.2200  0.4196
O  0.4416  0.2800  0.9196
O  0.5000  0.0000  0.0000
O  0.5000  0.5000  0.5000
O  0.5584  0.7200  0.0804
O  0.5584  0.7800  0.5804
O  0.5804  0.5584  0.7800
O  0.5804  0.9416  0.2800
O  0.7200  0.0804  0.5584
O  0.7200  0.4196  0.0584
O  0.7800  0.5804  0.5584
O  0.7800  0.9196  0.0584
O  0.9196  0.0584  0.7800
O  0.9196  0.4416  0.2800
O  0.9416  0.2200  0.0804
O  0.9416  0.2800  0.5804

Peak list (10 most intense, 2θ = 5–70°, most intense first)
d (Å)	Rel. int.
4.205	100
4.856	79
2.536	61
2.973	49
1.881	36
1.619	31
1.717	29
1.929	21
1.422	18
2.428	16

=====

Structure and simulated powder diffraction line list of Ta9PO25 (a structure optimized by DFT (GGA-PBE); Cu Kα (weighted mean of Kα1 and Kα2)).

Crystal structure
Cell lengths 11.3170, 11.3170, 11.3170 Å; angles 91.67, 91.67, 160.32 degrees
Element x y z (fractional)
Ta  0.0000  0.0000  0.0000
Ta  0.1127  0.6702  0.7883
Ta  0.1154  0.2289  0.3261
Ta  0.2108  0.8846  0.1136
Ta  0.3298  0.1181  0.4425
Ta  0.6756  0.8873  0.5575
Ta  0.7711  0.0972  0.8864
Ta  0.8819  0.3244  0.2117
Ta  0.9028  0.7892  0.6739
P  0.7500  0.2500  0.5000
O  0.0189  0.7310  0.7322
O  0.0295  0.5211  0.6167
O  0.0576  0.1188  0.1693
O  0.1116  0.9424  0.0612
O  0.1568  0.7623  0.9557
O  0.1677  0.3669  0.5112
O  0.2366  0.6030  0.8604
O  0.2377  0.1934  0.3945
O  0.2690  0.0012  0.2879
O  0.3435  0.8323  0.1991
O  0.3970  0.2574  0.6336
O  0.4789  0.0956  0.5084
O  0.5000  0.5000  0.0000
O  0.5872  0.9705  0.4916
O  0.6239  0.7634  0.3664
O  0.6331  0.1443  0.8009
O  0.7133  0.9811  0.7121
O  0.7426  0.3761  0.1396
O  0.7989  0.8432  0.6055
O  0.8066  0.2011  0.0443
O  0.8557  0.6565  0.4888
O  0.8812  0.0505  0.9388
O  0.9044  0.4128  0.3833
O  0.9495  0.8884  0.8307
O  0.9988  0.2867  0.2678

Peak list (10 most intense, 2θ = 5–70°, most intense first)
d (Å)	Rel. int.
3.526	100
2.897	53
3.757	49
4.987	36
2.335	28
2.720	26
2.493	23
1.696	23
1.745	22
3.391	22